This entry pairs a crystal structure of Cs2KBrCl6 with its calculated powder diffraction line list. Radiation: Cu Kα. Structure: a cell relaxed with PBE.

Main lines, sorted by position (2θ = 10–90°):
2theta, d_spacing, I/Imax, index
21.33, 4.166, 54, 2 0 0
22.38, 3.973, 100, 1 1 2
27.07, 3.294, 78, 2 0 2
30.34, 2.946, 85, 2 2 0
38.03, 2.366, 50, 3 1 2
43.45, 2.083, 31, 4 0 0
45.67, 1.986, 48, 2 2 4
55.82, 1.647, 33, 4 0 4

Atomic structure:
Lattice parameters (Å, degrees): 8.331 8.331 10.761 90.00 90.00 90.00
Space group I4/mmm (No. 139)
Symmetry-distinct sites (fractional):
Cs (0.000, 0.500, 0.250)
K (0.000, 0.000, 0.000)
Br (0.000, 0.000, 0.500)
Cl (0.000, 0.000, 0.282)
Cl (0.246, 0.246, 0.500)

***

This entry pairs a crystal structure of Ce4AgP5 with its calculated powder diffraction line list. Radiation: Cu Kα. Structure: a cell relaxed with PBE.

Main lines, sorted by position (2θ = 10–90°):
2theta, d_spacing, I/Imax, index
26.58, 3.353, 64, 0 1 5
29.06, 3.073, 13, 0 0 15
31.54, 2.837, 100, 1 0 10
43.55, 2.078, 45, 1 1 0
46.81, 1.941, 22, 0 1 20
53.21, 1.721, 14, 1 1 15
54.75, 1.677, 20, 0 2 10
72.43, 1.305, 17, 2 1 10

Atomic structure:
Lattice parameters (Å, degrees): 4.1564 4.1564 46.0909 90.00 90.00 120.00
Space group R-3m (No. 166, hexagonal axes)
Symmetry-distinct sites (fractional):
Ce (0.0000, 0.0000, 0.1087)
Ce (0.0000, 0.0000, 0.2977)
Ag (0.0000, 0.0000, 0.5000)
P (0.0000, 0.0000, 0.0000)
P (0.0000, 0.0000, 0.1958)
P (0.0000, 0.0000, 0.4047)